Starting from the PBE geometry in Alexandria, the PXRD pattern of NaSrN was calculated for Cu Kα (λ = 1.5418 Å).

Main lines, low angle first (2θ from 5° to 70°):
2θ = 17.51°, intensity 42.9; 2θ = 25.76°, intensity 40.7; 2θ = 31.31°, intensity 100.0; 2θ = 35.44°, intensity 10.6; 2θ = 44.33°, intensity 29.8; 2θ = 45.42°, intensity 28.7; 2θ = 49.03°, intensity 16.4; 2θ = 56.20°, intensity 18.5; 2θ = 58.89°, intensity 14.8; 2θ = 61.07°, intensity 13.4

Atomic structure:
abc: 3.9941 3.9941 10.1308
angles: 90.00 90.00 120.00
Sites, in units of the cell vectors:
1 Na 0.3333 0.6667 0.0000
2 Na 0.6667 0.3333 0.5000
3 Sr 0.0000 0.0000 0.2899
4 Sr 0.0000 0.0000 0.7899
5 N 0.3333 0.6667 0.3872
6 N 0.6667 0.3333 0.8872

Starting from the PBE geometry in Alexandria, the PXRD pattern of Na3SrN was calculated for Cu Kα (λ = 1.5418 Å).

Main lines, low angle first (2θ from 5° to 70°):
2θ = 17.30°, intensity 29.9; 2θ = 24.57°, intensity 71.3; 2θ = 30.21°, intensity 100.0; 2θ = 35.02°, intensity 70.9; 2θ = 39.31°, intensity 17.2; 2θ = 43.25°, intensity 29.5; 2θ = 50.36°, intensity 47.2; 2θ = 59.86°, intensity 41.3; 2θ = 62.82°, intensity 15.3; 2θ = 68.51°, intensity 14.6

Atomic structure:
abc: 5.1246 5.1246 5.1246
angles: 90.00 90.00 90.00
Sites, in units of the cell vectors:
1 Na 0.0000 0.0000 0.5000
2 Na 0.0000 0.5000 0.0000
3 Na 0.5000 0.0000 0.0000
4 Sr 0.5000 0.5000 0.5000
5 N 0.0000 0.0000 0.0000

Starting from the PBE geometry in Alexandria, the PXRD pattern of NaSrTaN3 was calculated for Cu Kα (λ = 1.5418 Å).

Main lines, low angle first (2θ from 5° to 70°):
2θ = 15.56°, intensity 22.5; 2θ = 17.48°, intensity 100.0; 2θ = 22.38°, intensity 20.6; 2θ = 28.30°, intensity 25.8; 2θ = 30.77°, intensity 44.9; 2θ = 31.58°, intensity 40.8; 2θ = 32.28°, intensity 37.6; 2θ = 34.46°, intensity 51.4; 2θ = 39.93°, intensity 29.3; 2θ = 54.22°, intensity 17.6

Atomic structure:
abc: 6.3954 6.3954 5.6986
angles: 96.00 96.00 125.86
Sites, in units of the cell vectors:
1 Na 0.0736 0.9264 0.7500
2 Na 0.9264 0.0736 0.2500
3 Sr 0.2361 0.7639 0.2500
4 Sr 0.7639 0.2361 0.7500
5 Ta 0.4575 0.5425 0.7500
6 Ta 0.5425 0.4575 0.2500
7 N 0.2297 0.3476 0.0037
8 N 0.2826 0.7174 0.7500
9 N 0.3476 0.2297 0.5037
10 N 0.6524 0.7703 0.4963
11 N 0.7174 0.2826 0.2500
12 N 0.7703 0.6524 0.9963

Starting from the PBE geometry in Alexandria, the PXRD pattern of NaSrWN3 was calculated for Cu Kα (λ = 1.5418 Å).

Main lines, low angle first (2θ from 5° to 70°):
2θ = 15.84°, intensity 17.9; 2θ = 17.37°, intensity 100.0; 2θ = 22.84°, intensity 22.3; 2θ = 31.18°, intensity 40.4; 2θ = 31.38°, intensity 51.0; 2θ = 33.04°, intensity 34.0; 2θ = 34.69°, intensity 54.7; 2θ = 36.10°, intensity 16.4; 2θ = 40.81°, intensity 26.5; 2θ = 50.88°, intensity 18.3

Atomic structure:
abc: 6.3153 6.3153 5.5416
angles: 95.49 95.49 124.69
Sites, in units of the cell vectors:
1 Na 0.0718 0.9282 0.7500
2 Na 0.9282 0.0718 0.2500
3 Sr 0.2428 0.7572 0.2500
4 Sr 0.7572 0.2428 0.7500
5 W 0.4492 0.5508 0.7500
6 W 0.5508 0.4492 0.2500
7 N 0.2422 0.3344 0.0110
8 N 0.2825 0.7175 0.7500
9 N 0.3344 0.2422 0.5110
10 N 0.6656 0.7578 0.4890
11 N 0.7175 0.2825 0.2500
12 N 0.7578 0.6656 0.9890

Starting from the PBE geometry in Alexandria, the PXRD pattern of Na5TcN3 was calculated for Cu Kα (λ = 1.5418 Å).

Main lines, low angle first (2θ from 5° to 70°):
2θ = 12.70°, intensity 93.1; 2θ = 13.06°, intensity 57.6; 2θ = 17.35°, intensity 65.1; 2θ = 19.18°, intensity 42.4; 2θ = 19.50°, intensity 70.3; 2θ = 19.91°, intensity 43.9; 2θ = 21.37°, intensity 46.7; 2θ = 31.98°, intensity 100.0; 2θ = 32.53°, intensity 63.7; 2θ = 33.23°, intensity 47.9

Atomic structure:
abc: 5.5413 7.5165 9.3975
angles: 110.82 101.21 92.66
Sites, in units of the cell vectors:
1 Na 0.0000 0.0000 0.0000
2 Na 0.0024 0.5793 0.0566
3 Na 0.0464 0.3111 0.3682
4 Na 0.4196 0.4227 0.8004
5 Na 0.4390 0.9406 0.7736
6 Na 0.5217 0.6763 0.4184
7 Na 0.5626 0.2864 0.1005
8 Na 0.5681 0.1621 0.4343
9 Na 0.9655 0.6101 0.6889
10 Na 0.9969 0.9113 0.3983
11 Tc 0.4868 0.8467 0.1164
12 Tc 0.9061 0.1462 0.7293
13 N 0.3075 0.7504 0.9161
14 N 0.3258 0.8403 0.2623
15 N 0.7448 0.0342 0.1835
16 N 0.7637 0.2643 0.8898
17 N 0.8437 0.8889 0.6437
18 N 0.9984 0.2668 0.6084

Starting from the PBE geometry in Alexandria, the PXRD pattern of Na6TcN4 was calculated for Cu Kα (λ = 1.5418 Å).

Main lines, low angle first (2θ from 5° to 70°):
2θ = 12.52°, intensity 75.9; 2θ = 19.35°, intensity 97.6; 2θ = 21.77°, intensity 43.1; 2θ = 29.28°, intensity 28.3; 2θ = 32.29°, intensity 35.7; 2θ = 33.53°, intensity 20.4; 2θ = 36.79°, intensity 100.0; 2θ = 37.08°, intensity 29.3; 2θ = 44.38°, intensity 30.9; 2θ = 47.02°, intensity 18.0

Atomic structure:
abc: 8.1652 8.1652 6.0277
angles: 90.00 90.00 120.00
Sites, in units of the cell vectors:
1 Na 0.0808 0.5404 0.0000
2 Na 0.1322 0.2643 0.3213
3 Na 0.1322 0.8678 0.3213
4 Na 0.2643 0.1322 0.8213
5 Na 0.4596 0.5404 0.0000
6 Na 0.4596 0.9192 0.0000
7 Na 0.5404 0.0808 0.5000
8 Na 0.5404 0.4596 0.5000
9 Na 0.7357 0.8678 0.3213
10 Na 0.8678 0.1322 0.8213
11 Na 0.8678 0.7357 0.8213
12 Na 0.9192 0.4596 0.5000
13 Tc 0.3333 0.6667 0.5881
14 Tc 0.6667 0.3333 0.0881
15 N 0.2102 0.4204 0.6933
16 N 0.2102 0.7898 0.6933
17 N 0.3333 0.6667 0.2799
18 N 0.4204 0.2102 0.1933
19 N 0.5796 0.7898 0.6933
20 N 0.6667 0.3333 0.7799
21 N 0.7898 0.2102 0.1933
22 N 0.7898 0.5796 0.1933

Starting from the PBE geometry in Alexandria, the PXRD pattern of Na5Tc2N6 was calculated for Cu Kα (λ = 1.5418 Å).

Main lines, low angle first (2θ from 5° to 70°):
2θ = 12.89°, intensity 31.5; 2θ = 17.20°, intensity 63.6; 2θ = 17.85°, intensity 100.0; 2θ = 18.48°, intensity 35.6; 2θ = 20.46°, intensity 27.7; 2θ = 20.83°, intensity 22.9; 2θ = 21.91°, intensity 30.5; 2θ = 30.03°, intensity 30.3; 2θ = 32.78°, intensity 23.4; 2θ = 35.54°, intensity 39.7

Atomic structure:
abc: 6.0020 6.0020 13.8042
angles: 95.04 95.04 60.62
Sites, in units of the cell vectors:
1 Na 0.0905 0.9095 0.7500
2 Na 0.1652 0.6674 0.9896
3 Na 0.3092 0.3986 0.2887
4 Na 0.3326 0.8348 0.5104
5 Na 0.3986 0.3092 0.7887
6 Na 0.6014 0.6908 0.2113
7 Na 0.6674 0.1652 0.4896
8 Na 0.6908 0.6014 0.7113
9 Na 0.8348 0.3326 0.0104
10 Na 0.9095 0.0905 0.2500
11 Tc 0.1371 0.4280 0.5846
12 Tc 0.4280 0.1371 0.0846
13 Tc 0.5720 0.8629 0.9154
14 Tc 0.8629 0.5720 0.4154
15 N 0.1099 0.2275 0.6642
16 N 0.1948 0.2805 0.4513
17 N 0.2275 0.1099 0.1642
18 N 0.2805 0.1948 0.9513
19 N 0.3649 0.5239 0.6297
20 N 0.4761 0.6351 0.8703
21 N 0.5239 0.3649 0.1297
22 N 0.6351 0.4761 0.3703
23 N 0.7195 0.8052 0.0487
24 N 0.7725 0.8901 0.8358
25 N 0.8052 0.7195 0.5487
26 N 0.8901 0.7725 0.3358

Starting from the PBE geometry in Alexandria, the PXRD pattern of Na3TcN8 was calculated for Cu Kα (λ = 1.5418 Å).

Main lines, low angle first (2θ from 5° to 70°):
2θ = 16.98°, intensity 84.3; 2θ = 18.95°, intensity 38.7; 2θ = 19.97°, intensity 21.2; 2θ = 27.66°, intensity 100.0; 2θ = 32.00°, intensity 12.0; 2θ = 33.26°, intensity 14.9; 2θ = 40.57°, intensity 37.4; 2θ = 45.14°, intensity 12.0; 2θ = 48.46°, intensity 18.5; 2θ = 49.81°, intensity 34.5

Atomic structure:
abc: 6.4591 6.4591 6.4591
angles: 121.73 121.73 87.03
Sites, in units of the cell vectors:
1 Na 0.0000 0.0000 0.0000
2 Na 0.2500 0.7500 0.5000
3 Na 0.7500 0.2500 0.5000
4 Tc 0.5000 0.5000 0.0000
5 N 0.1594 0.1594 0.5577
6 N 0.2600 0.7195 0.0000
7 N 0.2805 0.2805 0.5405
8 N 0.3982 0.8406 0.0000
9 N 0.6018 0.6018 0.4423
10 N 0.7195 0.2600 0.0000
11 N 0.7400 0.7400 0.4595
12 N 0.8406 0.3982 0.0000

Starting from the PBE geometry in Alexandria, the PXRD pattern of Na2TcN2 was calculated for Cu Kα (λ = 1.5418 Å).

Main lines, low angle first (2θ from 5° to 70°):
2θ = 18.94°, intensity 100.0; 2θ = 19.27°, intensity 55.8; 2θ = 32.91°, intensity 25.7; 2θ = 33.20°, intensity 25.7; 2θ = 33.51°, intensity 71.8; 2θ = 37.35°, intensity 23.7; 2θ = 40.81°, intensity 32.4; 2θ = 43.56°, intensity 18.2; 2θ = 44.41°, intensity 19.2; 2θ = 51.18°, intensity 15.2

Atomic structure:
abc: 2.9237 9.2106 5.6328
angles: 90.00 104.93 90.00
Sites, in units of the cell vectors:
1 Na 0.1171 0.0000 0.2186
2 Na 0.3376 0.1681 0.7081
3 Na 0.6624 0.6681 0.2919
4 Na 0.8829 0.5000 0.7814
5 Tc 0.4456 0.8346 0.7575
6 Tc 0.5544 0.3346 0.2425
7 N 0.0040 0.2571 0.0331
8 N 0.2116 0.4294 0.4361
9 N 0.7884 0.9294 0.5639
10 N 0.9960 0.7571 0.9669

Starting from the PBE geometry in Alexandria, the PXRD pattern of Na2UTcN4 was calculated for Cu Kα (λ = 1.5418 Å).

Main lines, low angle first (2θ from 5° to 70°):
2θ = 11.82°, intensity 100.0; 2θ = 23.07°, intensity 47.6; 2θ = 25.93°, intensity 32.8; 2θ = 26.51°, intensity 27.3; 2θ = 28.59°, intensity 53.0; 2θ = 31.09°, intensity 50.7; 2θ = 34.98°, intensity 39.2; 2θ = 40.11°, intensity 24.8; 2θ = 40.91°, intensity 29.4; 2θ = 49.99°, intensity 21.9

Atomic structure:
abc: 4.4963 6.8715 7.4872
angles: 90.00 90.00 90.00
Sites, in units of the cell vectors:
1 Na 0.2500 0.0037 0.1288
2 Na 0.2500 0.4963 0.1288
3 Na 0.7500 0.5037 0.8712
4 Na 0.7500 0.9963 0.8712
5 U 0.2500 0.7500 0.6066
6 U 0.7500 0.2500 0.3934
7 Tc 0.2500 0.2500 0.6811
8 Tc 0.7500 0.7500 0.3189
9 N 0.2500 0.0023 0.7919
10 N 0.2500 0.2500 0.4127
11 N 0.2500 0.4977 0.7919
12 N 0.2500 0.7500 0.3408
13 N 0.7500 0.2500 0.6592
14 N 0.7500 0.5023 0.2081
15 N 0.7500 0.7500 0.5873
16 N 0.7500 0.9977 0.2081

Starting from the PBE geometry in Alexandria, the PXRD pattern of NaTeN was calculated for Cu Kα (λ = 1.5418 Å).

Main lines, low angle first (2θ from 5° to 70°):
2θ = 7.48°, intensity 100.0; 2θ = 20.13°, intensity 71.9; 2θ = 22.57°, intensity 44.5; 2θ = 30.29°, intensity 31.1; 2θ = 32.79°, intensity 39.8; 2θ = 33.67°, intensity 31.2; 2θ = 38.21°, intensity 20.2; 2θ = 40.18°, intensity 36.3; 2θ = 40.91°, intensity 15.6; 2θ = 45.91°, intensity 17.6

Atomic structure:
abc: 3.1812 5.3248 23.6348
angles: 90.00 90.00 90.00
Sites, in units of the cell vectors:
1 Na 0.0000 0.0000 0.1988
2 Na 0.0000 0.0000 0.8012
3 Na 0.5000 0.5000 0.3012
4 Na 0.5000 0.5000 0.6988
5 Te 0.0000 0.0000 0.3337
6 Te 0.0000 0.0000 0.6663
7 Te 0.5000 0.5000 0.1663
8 Te 0.5000 0.5000 0.8337
9 N 0.0000 0.1046 0.0000
10 N 0.0000 0.8954 0.0000
11 N 0.5000 0.3954 0.5000
12 N 0.5000 0.6046 0.5000

Starting from the PBE geometry in Alexandria, the PXRD pattern of Na5Te2N2 was calculated for Cu Kα (λ = 1.5418 Å).

Main lines, low angle first (2θ from 5° to 70°):
2θ = 16.70°, intensity 89.4; 2θ = 19.53°, intensity 90.2; 2θ = 20.19°, intensity 57.2; 2θ = 24.37°, intensity 32.7; 2θ = 25.16°, intensity 79.3; 2θ = 26.31°, intensity 55.5; 2θ = 31.85°, intensity 100.0; 2θ = 35.31°, intensity 96.7; 2θ = 38.42°, intensity 39.1; 2θ = 38.53°, intensity 46.2

Atomic structure:
abc: 8.7979 5.3183 5.3183
angles: 86.73 90.00 90.00
Sites, in units of the cell vectors:
1 Na 0.0000 0.0000 0.0000
2 Na 0.3069 0.4480 0.9002
3 Na 0.3069 0.9002 0.4480
4 Na 0.6931 0.4480 0.9002
5 Na 0.6931 0.9002 0.4480
6 Te 0.0000 0.6088 0.6088
7 Te 0.5000 0.3983 0.3983
8 N 0.4337 0.9068 0.9068
9 N 0.5663 0.9068 0.9068

Starting from the PBE geometry in Alexandria, the PXRD pattern of Na3U2N4 was calculated for Cu Kα (λ = 1.5418 Å).

Main lines, low angle first (2θ from 5° to 70°):
2θ = 12.54°, intensity 100.0; 2θ = 14.99°, intensity 26.0; 2θ = 20.60°, intensity 65.0; 2θ = 25.13°, intensity 55.7; 2θ = 30.60°, intensity 64.4; 2θ = 30.85°, intensity 31.4; 2θ = 31.57°, intensity 37.4; 2θ = 32.83°, intensity 27.3; 2θ = 33.77°, intensity 71.6; 2θ = 39.69°, intensity 22.0

Atomic structure:
abc: 6.2416 6.2416 8.7618
angles: 124.32 124.32 35.59
Sites, in units of the cell vectors:
1 Na 0.0000 0.0000 0.0000
2 Na 0.2046 0.2046 0.8249
3 Na 0.7954 0.7954 0.1751
4 U 0.3984 0.3984 0.6113
5 U 0.6016 0.6016 0.3887
6 N 0.2032 0.2032 0.3610
7 N 0.4304 0.4304 0.1458
8 N 0.5696 0.5696 0.8542
9 N 0.7968 0.7968 0.6390